Record 1
For Pu2Ga2FeGe4, a GGA-PBE-relaxed structure gives the calculated X-ray powder pattern in this record (Cu Kα (weighted mean of Kα1 and Kα2)).
Peak positions follow from Bragg's law for the DFT cell and can differ from measured ones.

```
data_Pu2Ga2FeGe4
_space_group_name_H-M_alt 'P 1'
_space_group_IT_number 1
_space_group_name_Hall 'P 1'
_cell_length_a 6.116
_cell_length_b 6.116
_cell_length_c 6.116
_cell_angle_alpha 119.39
_cell_angle_beta 119.39
_cell_angle_gamma 91.06
loop_
_atom_site_label
_atom_site_type_symbol
_atom_site_fract_x
_atom_site_fract_y
_atom_site_fract_z
Pu1 Pu 0.250 0.750 0.500
Pu2 Pu 0.750 0.250 0.500
Ga1 Ga 0.220 0.220 0.000
Ga2 Ga 0.780 0.780 0.000
Fe1 Fe 0.500 0.500 0.000
Ge1 Ge 0.227 0.227 0.455
Ge2 Ge 0.227 0.773 0.000
Ge3 Ge 0.773 0.227 0.000
Ge4 Ge 0.773 0.773 0.545
```

Main lines, by angle (10° ≤ 2θ ≤ 90°):
2θ/deg, intensity
20.35, 18
28.93, 18
29.21, 38
35.86, 100
41.37, 44
42.18, 20
51.45, 15
59.95, 14
60.57, 26
71.87, 24

***

Record 2
For MnGaCoSe2, a GGA-PBE-relaxed structure gives the calculated X-ray powder pattern in this record (Cu Kα (weighted mean of Kα1 and Kα2)).
Peak positions follow from Bragg's law for the DFT cell and can differ from measured ones.

```
data_MnGaCoSe2
_space_group_name_H-M_alt 'P 1'
_space_group_IT_number 1
_space_group_name_Hall 'P 1'
_cell_length_a 4.974
_cell_length_b 3.871
_cell_length_c 5.036
_cell_angle_alpha 90.00
_cell_angle_beta 117.92
_cell_angle_gamma 90.00
loop_
_atom_site_label
_atom_site_type_symbol
_atom_site_fract_x
_atom_site_fract_y
_atom_site_fract_z
Mn1 Mn 0.000 0.000 0.000
Ga1 Ga 0.167 0.500 0.388
Co1 Co 0.502 0.000 0.501
Se1 Se 0.501 0.000 0.000
Se2 Se 0.832 0.500 0.642
```

Main lines, by angle (10° ≤ 2θ ≤ 90°):
2θ/deg, intensity
20.71, 28
30.61, 100
30.78, 79
35.69, 49
36.13, 48
42.09, 48
46.94, 56
47.11, 37
47.58, 66
48.54, 87

***

Record 3
For NaBi5Pb2, a GGA-PBE-relaxed structure gives the calculated X-ray powder pattern in this record (Cu Kα (weighted mean of Kα1 and Kα2)).
Peak positions follow from Bragg's law for the DFT cell and can differ from measured ones.

```
data_NaBi5Pb2
_space_group_name_H-M_alt 'P 1'
_space_group_IT_number 1
_space_group_name_Hall 'P 1'
_cell_length_a 8.529
_cell_length_b 8.529
_cell_length_c 6.927
_cell_angle_alpha 90.00
_cell_angle_beta 90.00
_cell_angle_gamma 90.00
loop_
_atom_site_label
_atom_site_type_symbol
_atom_site_fract_x
_atom_site_fract_y
_atom_site_fract_z
Na1 Na 0.000 0.000 0.000
Na2 Na 0.500 0.500 0.500
Bi1 Bi 0.000 0.000 0.500
Bi2 Bi 0.250 0.250 0.250
Bi3 Bi 0.250 0.250 0.750
Bi4 Bi 0.250 0.750 0.250
Bi5 Bi 0.250 0.750 0.750
Bi6 Bi 0.500 0.500 0.000
Bi7 Bi 0.750 0.250 0.250
Bi8 Bi 0.750 0.250 0.750
Bi9 Bi 0.750 0.750 0.250
Bi10 Bi 0.750 0.750 0.750
Pb1 Pb 0.000 0.500 0.000
Pb2 Pb 0.000 0.500 0.500
Pb3 Pb 0.500 0.000 0.000
Pb4 Pb 0.500 0.000 0.500
```

Main lines, by angle (10° ≤ 2θ ≤ 90°):
2θ/deg, intensity
29.63, 68
33.33, 100
42.40, 28
54.96, 50
61.51, 9
61.78, 18
69.74, 13
69.99, 12
71.78, 12
87.07, 15

***

Record 4
For Ce4Ru3, a GGA-PBE-relaxed structure gives the calculated X-ray powder pattern in this record (Cu Kα (weighted mean of Kα1 and Kα2)).
Peak positions follow from Bragg's law for the DFT cell and can differ from measured ones.

```
data_Ce4Ru3
_space_group_name_H-M_alt 'P 1'
_space_group_IT_number 1
_space_group_name_Hall 'P 1'
_cell_length_a 8.015
_cell_length_b 8.015
_cell_length_c 5.986
_cell_angle_alpha 103.70
_cell_angle_beta 103.70
_cell_angle_gamma 116.21
loop_
_atom_site_label
_atom_site_type_symbol
_atom_site_fract_x
_atom_site_fract_y
_atom_site_fract_z
Ce1 Ce 0.120 0.388 0.663
Ce2 Ce 0.166 0.834 0.000
Ce3 Ce 0.350 0.350 0.225
Ce4 Ce 0.388 0.120 0.663
Ce5 Ce 0.612 0.880 0.337
Ce6 Ce 0.650 0.650 0.775
Ce7 Ce 0.834 0.166 0.000
Ce8 Ce 0.880 0.612 0.337
Ru1 Ru 0.009 0.009 0.752
Ru2 Ru 0.179 0.578 0.245
Ru3 Ru 0.422 0.821 0.755
Ru4 Ru 0.578 0.179 0.245
Ru5 Ru 0.821 0.422 0.755
Ru6 Ru 0.991 0.991 0.248
```

Main lines, by angle (10° ≤ 2θ ≤ 90°):
2θ/deg, intensity
30.75, 59
31.38, 70
32.40, 59
34.36, 93
34.62, 93
36.09, 100
36.20, 57
36.52, 73
36.99, 52
37.53, 65

***

Record 5
For LaPm3Pr4, a GGA-PBE-relaxed structure gives the calculated X-ray powder pattern in this record (Cu Kα (weighted mean of Kα1 and Kα2)).
Peak positions follow from Bragg's law for the DFT cell and can differ from measured ones.

```
data_LaPm3Pr4
_space_group_name_H-M_alt 'P 1'
_space_group_IT_number 1
_space_group_name_Hall 'P 1'
_cell_length_a 10.468
_cell_length_b 7.386
_cell_length_c 7.382
_cell_angle_alpha 90.00
_cell_angle_beta 90.00
_cell_angle_gamma 90.00
loop_
_atom_site_label
_atom_site_type_symbol
_atom_site_fract_x
_atom_site_fract_y
_atom_site_fract_z
La1 La 0.000 0.000 0.000
La2 La 0.500 0.000 0.500
Pm1 Pm 0.000 0.500 0.500
Pm2 Pm 0.250 0.252 0.250
Pm3 Pm 0.250 0.748 0.750
Pm4 Pm 0.500 0.500 0.000
Pm5 Pm 0.750 0.252 0.250
Pm6 Pm 0.750 0.748 0.750
Pr1 Pr 0.000 0.000 0.500
Pr2 Pr 0.000 0.500 0.000
Pr3 Pr 0.250 0.252 0.750
Pr4 Pr 0.250 0.748 0.250
Pr5 Pr 0.500 0.000 0.000
Pr6 Pr 0.500 0.500 0.500
Pr7 Pr 0.750 0.252 0.750
Pr8 Pr 0.750 0.748 0.250
```

Main lines, by angle (10° ≤ 2θ ≤ 90°):
2θ/deg, intensity
29.61, 100
34.32, 51
49.33, 36
58.52, 15
58.63, 29
61.47, 13
72.40, 4
80.03, 15
82.45, 5
82.62, 11

***

Record 6
For K3PbO8, a GGA-PBE-relaxed structure gives the calculated X-ray powder pattern in this record (Cu Kα (weighted mean of Kα1 and Kα2)).
Peak positions follow from Bragg's law for the DFT cell and can differ from measured ones.

```
data_K3PbO8
_space_group_name_H-M_alt 'P 1'
_space_group_IT_number 1
_space_group_name_Hall 'P 1'
_cell_length_a 6.473
_cell_length_b 6.473
_cell_length_c 6.473
_cell_angle_alpha 113.68
_cell_angle_beta 113.68
_cell_angle_gamma 101.35
loop_
_atom_site_label
_atom_site_type_symbol
_atom_site_fract_x
_atom_site_fract_y
_atom_site_fract_z
K1 K 0.000 0.000 0.000
K2 K 0.250 0.750 0.500
K3 K 0.750 0.250 0.500
Pb1 Pb 0.500 0.500 0.000
O1 O 0.145 0.450 0.000
O2 O 0.246 0.685 0.000
O3 O 0.315 0.315 0.561
O4 O 0.450 0.145 0.000
O5 O 0.550 0.550 0.695
O6 O 0.685 0.246 0.000
O7 O 0.754 0.754 0.439
O8 O 0.855 0.855 0.305
```

Main lines, by angle (10° ≤ 2θ ≤ 90°):
2θ/deg, intensity
16.54, 100
17.71, 43
25.15, 31
28.12, 84
30.25, 34
35.87, 34
43.73, 14
46.18, 51
47.61, 16
58.14, 14

***

Record 7
For Ac8Os3CBr3, a GGA-PBE-relaxed structure gives the calculated X-ray powder pattern in this record (Cu Kα (weighted mean of Kα1 and Kα2)).
Peak positions follow from Bragg's law for the DFT cell and can differ from measured ones.

```
data_Ac8Os3CBr3
_space_group_name_H-M_alt 'P 1'
_space_group_IT_number 1
_space_group_name_Hall 'P 1'
_cell_length_a 8.609
_cell_length_b 8.609
_cell_length_c 9.593
_cell_angle_alpha 116.73
_cell_angle_beta 116.73
_cell_angle_gamma 59.96
loop_
_atom_site_label
_atom_site_type_symbol
_atom_site_fract_x
_atom_site_fract_y
_atom_site_fract_z
Ac1 Ac 0.222 0.222 0.683
Ac2 Ac 0.222 0.739 0.683
Ac3 Ac 0.261 0.778 0.317
Ac4 Ac 0.266 0.266 0.298
Ac5 Ac 0.734 0.734 0.702
Ac6 Ac 0.739 0.222 0.683
Ac7 Ac 0.778 0.261 0.317
Ac8 Ac 0.778 0.778 0.317
Os1 Os 0.000 0.500 0.500
Os2 Os 0.500 0.000 0.500
Os3 Os 0.500 0.500 0.500
C1 C 0.000 0.000 0.500
Br1 Br 0.000 0.000 0.000
Br2 Br 0.000 0.500 0.000
Br3 Br 0.500 0.000 0.000
```

Main lines, by angle (10° ≤ 2θ ≤ 90°):
2θ/deg, intensity
10.79, 52
24.96, 18
28.00, 100
30.09, 12
35.09, 21
37.94, 23
41.99, 41
47.42, 18
51.22, 19
68.31, 16

***

Record 8
For NaZnAgAu, a GGA-PBE-relaxed structure gives the calculated X-ray powder pattern in this record (Cu Kα (weighted mean of Kα1 and Kα2)).
Peak positions follow from Bragg's law for the DFT cell and can differ from measured ones.

```
data_NaZnAgAu
_space_group_name_H-M_alt 'P 1'
_space_group_IT_number 1
_space_group_name_Hall 'P 1'
_cell_length_a 4.437
_cell_length_b 4.437
_cell_length_c 7.383
_cell_angle_alpha 90.00
_cell_angle_beta 90.00
_cell_angle_gamma 90.00
loop_
_atom_site_label
_atom_site_type_symbol
_atom_site_fract_x
_atom_site_fract_y
_atom_site_fract_z
Na1 Na 0.250 0.250 0.249
Na2 Na 0.750 0.750 0.751
Zn1 Zn 0.250 0.750 0.500
Zn2 Zn 0.750 0.250 0.500
Ag1 Ag 0.250 0.750 0.000
Ag2 Ag 0.750 0.250 0.000
Au1 Au 0.250 0.250 0.720
Au2 Au 0.750 0.750 0.280
```

Main lines, by angle (10° ≤ 2θ ≤ 90°):
2θ/deg, intensity
23.39, 62
37.63, 100
40.67, 43
41.98, 10
47.45, 20
49.38, 9
58.87, 14
65.83, 15
72.01, 29
80.33, 8